No. 1
Structure and theoretical PXRD pattern of Bi2Se3 (a structure optimized by DFT (PBE); Cu Ka).

Structure:
```
Bi2Se3
1.0
7.5119 0.0000 0.0000
0.0000 4.1871 0.0000
-0.1289 0.0000 10.4669
Bi Se
4 6
Cartesian
0.6422 1.0468 1.5694 Bi
1.8133 3.1403 5.1222 Bi
5.5697 1.0468 5.3447 Bi
6.7408 3.1403 8.8975 Bi
0.4388 1.0468 6.9590 Se
1.6515 3.1403 10.4316 Se
3.0200 1.0468 3.5546 Se
4.3629 3.1403 6.9123 Se
5.7314 1.0468 0.0353 Se
6.9441 3.1403 3.5079 Se
```

Peak list (6 most intense, 2θ = 5–70°, sorted by position)
- 11.78 deg, intensity 35, (1 0 0)
- 14.43 deg, intensity 30, (1 0 -1)
- 29.44 deg, intensity 51, (2 0 2)
- 29.72 deg, intensity 100, (1 1 -2)
- 42.05 deg, intensity 40, (3 1 0)
- 42.60 deg, intensity 36, (1 1 4)



No. 2
Structure and theoretical PXRD pattern of MgGaRh (a structure optimized by DFT (PBE); Cu Ka).

Structure:
```
MgGaRh
1.0
3.1847 0.0000 0.0000
0.0000 3.1847 0.0000
0.0000 0.0000 9.2847
Mg Ga Rh
2 2 2
Cartesian
0.0000 0.0000 0.0000 Mg
1.5924 1.5924 4.6424 Mg
0.0000 0.0000 6.4122 Ga
1.5924 1.5924 1.7698 Ga
0.0000 0.0000 3.0438 Rh
1.5924 1.5924 7.6861 Rh
```

Peak list (6 most intense, 2θ = 5–70°, sorted by position)
- 19.12 deg, intensity 40, (0 0 2)
- 29.66 deg, intensity 19, (1 0 1)
- 40.04 deg, intensity 56, (1 1 0)
- 40.65 deg, intensity 100, (1 0 3)
- 44.73 deg, intensity 17, (1 1 2)
- 57.91 deg, intensity 18, (2 0 0)



No. 3
Structure and theoretical PXRD pattern of PmPr2Sm2Tm (a structure optimized by DFT (PBE); Cu Ka).

Structure:
```
PmPr2Sm2Tm
1.0
7.1102 0.0000 0.0000
0.0000 5.7406 0.0000
0.0000 0.0000 9.9396
Pm Pr Sm Tm
2 4 4 2
Cartesian
1.7775 0.0000 1.5653 Pm
5.3326 0.0000 8.3743 Pm
0.0000 0.0000 4.9698 Pr
1.7775 2.8703 6.7364 Pr
3.5551 0.0000 4.9698 Pr
5.3326 2.8703 3.2033 Pr
1.7775 0.0000 8.2693 Sm
1.7775 2.8703 3.3390 Sm
5.3326 0.0000 1.6703 Sm
5.3326 2.8703 6.6006 Sm
0.0000 2.8703 0.0000 Tm
3.5551 2.8703 0.0000 Tm
```

Peak list (6 most intense, 2θ = 5–70°, sorted by position)
- 30.92 deg, intensity 93, (2 1 1)
- 31.17 deg, intensity 100, (0 2 0)
- 44.48 deg, intensity 34, (2 2 2)
- 55.31 deg, intensity 36, (2 3 1)
- 55.46 deg, intensity 19, (0 3 3)
- 61.35 deg, intensity 29, (4 2 0)



No. 4
Structure and theoretical PXRD pattern of Ac6LaTb2 (a structure optimized by DFT (PBE); Cu Ka).

Structure:
```
Ac6LaTb2
1.0
7.8100 0.0000 0.0000
0.0233 9.6813 0.0000
1.9827 2.4170 9.8334
Ac La Tb
12 2 4
Cartesian
1.0004 3.9549 3.1736 Ac
0.9933 10.0769 1.7197 Ac
0.9982 6.5075 0.2025 Ac
2.9801 7.2894 3.4954 Ac
4.8991 2.0551 8.1413 Ac
4.9110 8.1429 6.7024 Ac
4.9050 3.9553 3.1310 Ac
4.9168 10.0432 1.6921 Ac
6.8359 4.8089 6.3380 Ac
8.8177 5.5907 9.6309 Ac
8.8227 2.0213 8.1137 Ac
8.8155 8.1434 6.6598 Ac
4.9209 5.5625 9.6449 La
4.8951 6.5358 0.1885 La
2.9601 4.7628 6.3937 Tb
2.9515 1.2566 4.9310 Tb
6.8645 10.8417 4.9024 Tb
6.8558 7.3354 3.4397 Tb
```

Peak list (6 most intense, 2θ = 5–70°, sorted by position)
- 26.57 deg, intensity 53, (0 1 3)
- 28.48 deg, intensity 74, (0 3 0)
- 29.29 deg, intensity 100, (2 -1 2)
- 29.35 deg, intensity 51, (2 1 -1)
- 30.74 deg, intensity 43, (2 2 2)
- 30.84 deg, intensity 43, (-2 2 1)



No. 5
Structure and theoretical PXRD pattern of CuH11C4N2O10 (a structure optimized by DFT (PBE); Cu Ka).

Structure:
```
CuH11C4N2O10
1.0
7.6559 0.0000 0.0000
0.2544 8.9838 0.0000
1.8831 4.2231 8.6314
Cu H C N O
2 22 8 4 20
Cartesian
0.0000 0.0000 0.0000 Cu
4.8967 6.6035 4.3157 Cu
1.6292 5.8097 5.9077 H
1.5375 3.0706 4.8980 H
1.7472 8.4117 2.6812 H
1.9525 6.5395 1.2201 H
2.8110 10.3602 3.8436 H
3.2362 11.5959 5.5435 H
2.2202 4.8807 0.8360 H
2.9522 3.5331 4.1698 H
3.9920 10.2112 8.2290 H
3.5538 9.3766 2.7592 H
3.4493 6.0168 0.5706 H
6.3441 7.1902 8.0608 H
6.2396 3.8303 5.8722 H
5.8014 2.9957 0.4025 H
6.8412 9.6739 4.4616 H
7.5732 8.3262 7.7954 H
6.5572 1.6111 3.0880 H
6.9824 2.8467 4.7878 H
7.8409 6.6675 7.4113 H
8.0462 4.7953 5.9502 H
8.2559 10.1363 3.7335 H
8.1642 7.3972 2.7237 H
3.1782 7.9801 5.8343 C
3.7743 6.1005 8.5868 C
4.2993 4.9134 7.7640 C
4.4761 8.7876 5.7822 C
5.3173 4.4194 2.8492 C
5.4941 8.2935 0.8674 C
6.0191 7.1064 0.0446 C
6.6152 5.2269 2.7972 C
2.4846 2.7680 4.6632 N
2.4270 5.8547 0.5715 N
7.3664 7.3522 8.0600 N
7.3088 10.4389 3.9682 N
1.1736 7.7969 2.1254 O
0.7167 1.6739 0.4780 O
2.1813 8.3392 6.4492 O
3.4938 3.8881 7.7379 O
2.8405 9.4074 3.4309 O
3.2642 6.8139 5.2151 O
2.5431 2.9217 0.0790 O
4.6289 9.8653 6.3561 O
4.3512 5.0103 3.5186 O
5.3863 4.9534 7.1821 O
4.4070 8.2535 1.4493 O
5.4422 8.1966 5.1128 O
5.1645 3.3416 2.2753 O
7.2503 10.2853 8.5525 O
6.5292 6.3930 3.4163 O
6.9529 3.7996 5.2006 O
6.2996 9.3188 0.8936 O
7.6120 4.8678 2.1822 O
9.0767 11.5330 8.1535 O
8.6198 5.4100 6.5060 O
```

Peak list (6 most intense, 2θ = 5–70°, sorted by position)
- 11.25 deg, intensity 97, (0 1 1)
- 14.01 deg, intensity 81, (1 0 1)
- 15.62 deg, intensity 27, (1 -1 0)
- 16.64 deg, intensity 37, (1 1 0)
- 18.05 deg, intensity 26, (0 1 -1)
- 27.88 deg, intensity 100, (1 -1 2)



No. 6
Structure and theoretical PXRD pattern of NaSn6S8 (a structure optimized by DFT (PBE); Cu Ka).

Structure:
```
NaSn6S8
1.0
10.3091 0.0000 0.0000
-5.1545 8.9279 0.0000
0.0000 0.0000 4.1185
Na Sn S
1 6 8
Cartesian
0.0000 0.0000 0.0000 Na
-2.0958 6.1170 1.0316 Sn
0.9050 4.0544 1.0316 Sn
3.9637 1.2435 3.0869 Sn
1.1908 7.6845 1.0316 Sn
4.2496 4.8735 3.0869 Sn
7.2504 2.8110 3.0869 Sn
-1.3152 2.7029 1.0166 S
-2.1562 8.7155 1.0166 S
1.6832 2.4905 3.1020 S
0.0000 5.9520 3.1061 S
5.1545 2.9760 1.0124 S
3.4714 6.4375 1.0166 S
7.3107 0.2124 3.1020 S
6.4698 6.2250 3.1020 S
```

Peak list (6 most intense, 2θ = 5–70°, sorted by position)
- 9.91 deg, intensity 47, (1 0 0)
- 23.79 deg, intensity 52, (0 1 1)
- 26.41 deg, intensity 100, (2 1 0)
- 34.36 deg, intensity 84, (3 -1 1)
- 41.32 deg, intensity 50, (2 2 1)
- 52.03 deg, intensity 31, (2 1 2)



No. 7
Structure and theoretical PXRD pattern of NaGe4Pt (a structure optimized by DFT (PBE); Cu Ka).

Structure:
```
NaGe4Pt
1.0
6.9824 0.0000 0.0000
0.0000 4.5955 0.0000
-3.8571 0.0000 7.6062
Na Ge Pt
2 8 2
Cartesian
-0.9643 0.0091 1.9016 Na
-2.8929 4.5864 5.7047 Na
-0.8918 2.2934 4.8899 Ge
1.0368 2.3021 1.0868 Ge
2.2886 0.0023 0.6988 Ge
0.3600 4.5932 4.5019 Ge
2.7653 0.0023 3.1043 Ge
0.8367 4.5932 6.9074 Ge
2.0885 2.2934 6.5194 Ge
4.0171 2.3021 2.7163 Ge
3.4912 2.2978 0.0000 Pt
1.5627 2.2978 3.8031 Pt
```

Peak list (6 most intense, 2θ = 5–70°, sorted by position)
- 14.22 deg, intensity 100, (1 0 0)
- 32.67 deg, intensity 54, (1 0 2)
- 33.93 deg, intensity 69, (2 1 -2)
- 39.21 deg, intensity 35, (0 2 0)
- 43.79 deg, intensity 35, (3 1 -2)
- 47.57 deg, intensity 53, (1 1 -4)